Record 1
Simulated powder XRD pattern of Li6CuB4O10 for CuKα, from a DFT-relaxed cell (GGA-PBE, the Materials Project).
Intensities are scaled so that the largest is 1000.

Cell lengths 3.365, 6.768, 9.366 Å; angles 78.80, 89.60, 86.22 degrees
Fractional positions:
Li: 0.015 0.347 0.376
Li: 0.071 0.209 0.970
Li: 0.470 0.519 0.147
Li: 0.530 0.481 0.853
Li: 0.929 0.791 0.030
Li: 0.985 0.653 0.624
Cu: 0.500 0.000 0.500
B: 0.116 0.219 0.710
B: 0.376 0.853 0.814
B: 0.624 0.147 0.186
B: 0.884 0.781 0.290
O: 0.030 0.391 0.765
O: 0.146 0.206 0.569
O: 0.180 0.041 0.823
O: 0.442 0.721 0.944
O: 0.475 0.798 0.684
O: 0.525 0.202 0.316
O: 0.558 0.279 0.056
O: 0.820 0.959 0.177
O: 0.854 0.794 0.431
O: 0.970 0.609 0.235

Principal peaks in the range 10° ≤ 2θ ≤ 80°, in order of falling intensity:
| two_theta | d (Å) | Rel. int. |
| --- | --- | --- |
| 29.8 | 2.996 | 1000 |
| 13.4 | 6.625 | 943 |
| 14.9 | 5.949 | 404 |
| 18.0 | 4.938 | 313 |
| 44.0 | 2.058 | 307 |
| 28.4 | 3.148 | 217 |



Record 2
Simulated powder XRD pattern of Zn3Cu6Sn3Se4S8 for CuKα, from a DFT-relaxed cell (GGA-PBE, the Materials Project).
Intensities are scaled so that the largest is 1000.

Cell lengths 5.557, 5.557, 17.169 Å; angles 99.36, 99.36, 89.55 degrees
Fractional positions:
Zn: 0.000 0.000 0.000
Zn: 0.328 0.328 0.671
Zn: 0.663 0.663 0.339
Cu: 0.092 0.593 0.182
Cu: 0.270 0.743 0.511
Cu: 0.409 0.935 0.843
Cu: 0.593 0.092 0.182
Cu: 0.743 0.270 0.511
Cu: 0.935 0.409 0.843
Sn: 0.176 0.176 0.341
Sn: 0.502 0.502 0.002
Sn: 0.843 0.843 0.672
Se: 0.289 0.289 0.095
Se: 0.623 0.623 0.762
Se: 0.810 0.810 0.096
Se: 0.957 0.957 0.431
S: 0.049 0.536 0.584
S: 0.140 0.140 0.761
S: 0.202 0.714 0.915
S: 0.384 0.871 0.253
S: 0.473 0.473 0.428
S: 0.536 0.049 0.584
S: 0.714 0.202 0.915
S: 0.871 0.384 0.253

Principal peaks in the range 10° ≤ 2θ ≤ 80°, in order of falling intensity:
| two_theta | d (Å) | Rel. int. |
| --- | --- | --- |
| 27.7 | 3.219 | 1000 |
| 27.9 | 3.203 | 959 |
| 46.1 | 1.967 | 853 |
| 54.6 | 1.680 | 397 |
| 54.9 | 1.672 | 277 |
| 46.0 | 1.973 | 221 |



Record 3
Simulated powder XRD pattern of NbAlCl8 for CuKα, from a DFT-relaxed cell (GGA-PBE, the Materials Project).
Intensities are scaled so that the largest is 1000.

Cell lengths 9.929, 9.929, 8.742 Å; angles 90.00, 90.00, 128.39 degrees
Fractional positions:
Nb: 0.113 0.887 0.750
Nb: 0.887 0.113 0.250
Al: 0.314 0.686 0.750
Al: 0.686 0.314 0.250
Cl: 0.039 0.577 0.750
Cl: 0.133 0.867 0.013
Cl: 0.133 0.867 0.487
Cl: 0.171 0.240 0.250
Cl: 0.240 0.171 0.750
Cl: 0.377 0.623 0.546
Cl: 0.377 0.623 0.954
Cl: 0.423 0.961 0.750
Cl: 0.577 0.039 0.250
Cl: 0.623 0.377 0.046
Cl: 0.623 0.377 0.454
Cl: 0.760 0.829 0.250
Cl: 0.829 0.760 0.750
Cl: 0.867 0.133 0.513
Cl: 0.867 0.133 0.987
Cl: 0.961 0.423 0.250

Principal peaks in the range 10° ≤ 2θ ≤ 80°, in order of falling intensity:
| two_theta | d (Å) | Rel. int. |
| --- | --- | --- |
| 15.2 | 5.813 | 1000 |
| 28.7 | 3.107 | 654 |
| 11.4 | 7.783 | 370 |
| 14.2 | 6.250 | 321 |
| 38.1 | 2.361 | 199 |
| 48.5 | 1.877 | 189 |



Record 4
Simulated powder XRD pattern of BaYMgCuAgO5 for CuKα, from a DFT-relaxed cell (GGA-PBE, the Materials Project).
Intensities are scaled so that the largest is 1000.

Cell lengths 3.859, 3.859, 9.868 Å; angles 90.00, 90.00, 90.00 degrees
Fractional positions:
Ba: 0.000 0.000 0.000
Y: 0.000 0.000 0.368
Mg: 0.000 0.000 0.631
Cu: 0.500 0.500 0.214
Ag: 0.500 0.500 0.718
O: 0.000 0.500 0.235
O: 0.000 0.500 0.550
O: 0.500 0.000 0.235
O: 0.500 0.000 0.550
O: 0.500 0.500 0.939

Principal peaks in the range 10° ≤ 2θ ≤ 80°, in order of falling intensity:
| two_theta | d (Å) | Rel. int. |
| --- | --- | --- |
| 29.4 | 3.040 | 1000 |
| 32.8 | 2.729 | 582 |
| 47.1 | 1.929 | 366 |
| 43.1 | 2.100 | 341 |
| 56.5 | 1.629 | 307 |
| 35.9 | 2.503 | 245 |